# 1
# Ba3Cr2N4
Theoretical powder diffraction line list, Cu Kα. Input: a crystal structure in the Materials Project, relaxed with PBE.
Lines closer than 0.1° are merged.

Crystal structure
Lattice parameters (Å, degrees): 7.7186 7.7186 5.7811 91.54 91.54 71.07
Element x y z (fractional)
Ba 0.0993 0.9007 0.7500
Ba 0.2407 0.5027 0.4413
Ba 0.4973 0.7593 0.0587
Ba 0.5027 0.2407 0.9413
Ba 0.7593 0.4973 0.5587
Ba 0.9007 0.0993 0.2500
Cr 0.0906 0.3369 0.9394
Cr 0.3369 0.0906 0.4394
Cr 0.6631 0.9094 0.5606
Cr 0.9094 0.6631 0.0606
N 0.1587 0.5492 0.9664
N 0.1624 0.2238 0.6496
N 0.2238 0.1624 0.1496
N 0.4508 0.8414 0.5336
N 0.5492 0.1587 0.4664
N 0.7762 0.8376 0.8504
N 0.8376 0.7762 0.3504
N 0.8414 0.4508 0.0336

Most intense lines, 10 to 90 degrees two-theta, low angle first:
d [Å]	I (rel.)
3.793	28
3.543	21
3.215	58
3.059	100
2.704	37
2.592	25
2.418	28
2.258	30
2.243	23
2.058	17

# 2
# La5ZnPb3
Theoretical powder diffraction line list, Cu Kα. Input: a crystal structure in the Materials Project, relaxed with PBE.
Lines closer than 0.1° are merged.

Crystal structure
Lattice parameters (Å, degrees): 9.8300 9.8300 6.9362 90.00 90.00 120.00
Element x y z (fractional)
La 0.0000 0.2693 0.2500
La 0.0000 0.7307 0.7500
La 0.2693 0.0000 0.2500
La 0.2693 0.2693 0.7500
La 0.3333 0.6667 0.0000
La 0.3333 0.6667 0.5000
La 0.6667 0.3333 0.0000
La 0.6667 0.3333 0.5000
La 0.7307 0.0000 0.7500
La 0.7307 0.7307 0.2500
Zn 0.0000 0.0000 0.0000
Zn 0.0000 0.0000 0.5000
Pb 0.0000 0.3785 0.7500
Pb 0.0000 0.6215 0.2500
Pb 0.3785 0.0000 0.7500
Pb 0.3785 0.3785 0.2500
Pb 0.6215 0.0000 0.2500
Pb 0.6215 0.6215 0.7500

Most intense lines, 10 to 90 degrees two-theta, low angle first:
d [Å]	I (rel.)
3.468	11
2.919	36
2.836	100
2.235	12
2.005	14
1.878	17
1.638	11
1.567	9
1.493	10
1.480	13